1.
Structure and calculated powder diffraction line list of Ca3ZnP3 (a crystal structure in Alexandria, relaxed with PBE; Cu Kα, 1.54184 Å).
No peak broadening, texture or thermal motion is included.

Most intense lines, 2θ from 15° to 90°, by angle:
17.1°, rel. 47.0; 27.3°, rel. 34.0; 29.3°, rel. 15.7; 29.9°, rel. 49.7; 30.0°, rel. 21.3; 31.9°, rel. 12.5; 42.4°, rel. 100.0; 42.9°, rel. 58.1; 62.4°, rel. 15.7; 78.3°, rel. 12.6

Cell and atoms:
abc: 9.454 9.454 11.903
angles: 90.00 90.00 37.57
Fractional coordinates of all 28 atoms:
Ca 0.025 0.624 0.132
Ca 0.124 0.525 0.632
Ca 0.190 0.810 0.853
Ca 0.310 0.690 0.353
Ca 0.376 0.975 0.132
Ca 0.475 0.876 0.632
Ca 0.525 0.124 0.368
Ca 0.624 0.025 0.868
Ca 0.690 0.310 0.647
Ca 0.810 0.190 0.147
Ca 0.876 0.475 0.368
Ca 0.975 0.376 0.868
Zn 0.085 0.085 0.500
Zn 0.415 0.415 0.000
Zn 0.585 0.585 0.000
Zn 0.915 0.915 0.500
P 0.058 0.619 0.378
P 0.119 0.558 0.878
P 0.222 0.778 0.611
P 0.278 0.722 0.111
P 0.381 0.942 0.378
P 0.442 0.881 0.878
P 0.558 0.119 0.122
P 0.619 0.058 0.622
P 0.722 0.278 0.889
P 0.778 0.222 0.389
P 0.881 0.442 0.122
P 0.942 0.381 0.622

***

2.
Structure and calculated powder diffraction line list of Ho4HC2N (a crystal structure in Alexandria, relaxed with PBE; Cu Kα, 1.54184 Å).
No peak broadening, texture or thermal motion is included.

Most intense lines, 2θ from 15° to 90°, by angle:
30.7°, rel. 49.3; 31.0°, rel. 100.0; 31.2°, rel. 47.9; 35.9°, rel. 83.4; 36.0°, rel. 41.6; 51.4°, rel. 28.7; 51.6°, rel. 28.4; 52.0°, rel. 28.2; 61.2°, rel. 20.2; 61.6°, rel. 28.6

Cell and atoms:
abc: 6.072 3.541 6.167
angles: 90.00 109.33 90.00
Fractional coordinates of all 8 atoms:
Ho 0.233 0.000 0.231
Ho 0.244 0.500 0.760
Ho 0.756 0.500 0.240
Ho 0.767 0.000 0.769
H 0.500 0.500 0.500
C 0.000 0.000 0.500
C 0.000 0.500 0.000
N 0.500 0.000 0.000

***

3.
Structure and calculated powder diffraction line list of Pd3Pt3Au (a crystal structure in Alexandria, relaxed with PBE; Cu Kα, 1.54184 Å).
No peak broadening, texture or thermal motion is included.

Most intense lines, 2θ from 15° to 90°, by angle:
23.5°, rel. 4.2; 37.1°, rel. 24.7; 38.4°, rel. 28.5; 42.0°, rel. 100.0; 54.5°, rel. 16.5; 66.9°, rel. 16.8; 71.9°, rel. 20.5; 79.9°, rel. 20.7; 82.2°, rel. 14.7; 82.2°, rel. 3.2

Cell and atoms:
abc: 7.400 7.400 4.689
angles: 90.00 90.00 120.00
Fractional coordinates of all 14 atoms:
Pd 0.093 0.473 0.250
Pd 0.380 0.907 0.250
Pd 0.473 0.380 0.750
Pd 0.527 0.620 0.250
Pd 0.620 0.093 0.750
Pd 0.907 0.527 0.750
Pt 0.042 0.233 0.750
Pt 0.192 0.958 0.750
Pt 0.233 0.192 0.250
Pt 0.767 0.808 0.750
Pt 0.808 0.042 0.250
Pt 0.958 0.767 0.250
Au 0.333 0.667 0.750
Au 0.667 0.333 0.250

***

4.
Structure and calculated powder diffraction line list of Zn2InAu (a crystal structure in Alexandria, relaxed with PBE; Cu Kα, 1.54184 Å).
No peak broadening, texture or thermal motion is included.

Most intense lines, 2θ from 15° to 90°, by angle:
23.1°, rel. 18.9; 25.3°, rel. 15.3; 34.6°, rel. 100.0; 40.3°, rel. 65.6; 41.7°, rel. 59.6; 47.3°, rel. 20.6; 52.0°, rel. 15.4; 64.8°, rel. 31.3; 67.8°, rel. 27.4; 78.7°, rel. 18.0

Cell and atoms:
abc: 5.509 7.694 3.515
angles: 90.00 90.00 90.00
Fractional coordinates of all 8 atoms:
Zn 0.250 0.250 0.000
Zn 0.250 0.750 0.000
Zn 0.750 0.250 0.000
Zn 0.750 0.750 0.000
In 0.000 0.000 0.500
In 0.500 0.500 0.500
Au 0.000 0.500 0.500
Au 0.500 0.000 0.500

***

5.
Structure and calculated powder diffraction line list of La2AsPPt6 (a crystal structure in Alexandria, relaxed with PBE; Cu Kα, 1.54184 Å).
No peak broadening, texture or thermal motion is included.

Most intense lines, 2θ from 15° to 90°, by angle:
26.2°, rel. 24.4; 29.8°, rel. 98.6; 33.9°, rel. 36.6; 38.3°, rel. 74.6; 38.6°, rel. 100.0; 41.5°, rel. 34.8; 43.1°, rel. 49.8; 44.2°, rel. 25.4; 47.6°, rel. 25.5; 59.0°, rel. 45.7

Cell and atoms:
abc: 5.611 8.403 8.572
angles: 90.00 90.00 90.00
Fractional coordinates of all 20 atoms:
La 0.250 0.005 0.236
La 0.250 0.495 0.236
La 0.750 0.505 0.764
La 0.750 0.995 0.764
As 0.250 0.750 0.788
As 0.750 0.250 0.212
P 0.250 0.250 0.752
P 0.750 0.750 0.248
Pt 0.002 0.750 0.491
Pt 0.005 0.250 0.976
Pt 0.250 0.504 0.627
Pt 0.250 0.996 0.627
Pt 0.495 0.250 0.976
Pt 0.498 0.750 0.491
Pt 0.502 0.250 0.509
Pt 0.505 0.750 0.024
Pt 0.750 0.004 0.373
Pt 0.750 0.496 0.373
Pt 0.995 0.750 0.024
Pt 0.998 0.250 0.509

***

6.
Structure and calculated powder diffraction line list of CsLi2TbI6 (a crystal structure in Alexandria, relaxed with PBE; Cu Kα, 1.54184 Å).
No peak broadening, texture or thermal motion is included.

Most intense lines, 2θ from 15° to 90°, by angle:
21.8°, rel. 59.1; 22.2°, rel. 89.4; 23.2°, rel. 100.0; 24.7°, rel. 85.9; 27.4°, rel. 80.9; 29.7°, rel. 55.4; 31.8°, rel. 97.2; 32.2°, rel. 91.7; 35.9°, rel. 67.2; 36.3°, rel. 66.5

Cell and atoms:
abc: 7.746 8.176 8.335
angles: 75.69 67.32 68.14
Fractional coordinates of all 10 atoms:
Cs 0.000 0.000 0.000
Li 0.259 0.448 0.082
Li 0.886 0.734 0.601
Tb 0.492 0.466 0.545
I 0.093 0.449 0.821
I 0.249 0.806 0.388
I 0.486 0.258 0.293
I 0.500 0.642 0.830
I 0.687 0.099 0.709
I 0.869 0.573 0.335

***

7.
Structure and calculated powder diffraction line list of Ac2Pr4Nd (a crystal structure in Alexandria, relaxed with PBE; Cu Kα, 1.54184 Å).
No peak broadening, texture or thermal motion is included.

Most intense lines, 2θ from 15° to 90°, by angle:
28.9°, rel. 100.0; 33.4°, rel. 34.2; 33.5°, rel. 16.9; 48.0°, rel. 18.7; 48.1°, rel. 18.7; 56.9°, rel. 18.8; 57.0°, rel. 11.2; 57.1°, rel. 11.1; 59.8°, rel. 12.9; 77.7°, rel. 9.1

Cell and atoms:
abc: 6.564 8.479 10.014
angles: 85.23 77.20 82.68
Fractional coordinates of all 14 atoms:
Ac 0.000 0.000 0.000
Ac 0.212 0.570 0.076
Ac 0.500 0.000 0.500
Ac 0.788 0.430 0.924
Pr 0.071 0.855 0.360
Pr 0.146 0.713 0.710
Pr 0.286 0.430 0.433
Pr 0.425 0.142 0.145
Pr 0.575 0.858 0.855
Pr 0.714 0.570 0.567
Pr 0.854 0.287 0.290
Pr 0.929 0.145 0.640
Nd 0.363 0.285 0.782
Nd 0.637 0.715 0.218

***

8.
Structure and calculated powder diffraction line list of Pa2Co2Ni (a crystal structure in Alexandria, relaxed with PBE; Cu Kα, 1.54184 Å).
No peak broadening, texture or thermal motion is included.

Most intense lines, 2θ from 15° to 90°, by angle:
25.5°, rel. 22.2; 25.6°, rel. 14.2; 28.6°, rel. 33.4; 36.5°, rel. 39.1; 38.7°, rel. 100.0; 40.8°, rel. 26.9; 52.7°, rel. 12.6; 54.1°, rel. 16.7; 60.8°, rel. 28.0; 62.4°, rel. 13.3

Cell and atoms:
abc: 6.991 6.991 6.953
angles: 90.00 90.00 90.00
Fractional coordinates of all 20 atoms:
Pa 0.178 0.322 0.000
Pa 0.178 0.322 0.500
Pa 0.322 0.822 0.000
Pa 0.322 0.822 0.500
Pa 0.678 0.178 0.000
Pa 0.678 0.178 0.500
Pa 0.822 0.678 0.000
Pa 0.822 0.678 0.500
Co 0.133 0.633 0.250
Co 0.133 0.633 0.750
Co 0.367 0.133 0.250
Co 0.367 0.133 0.750
Co 0.633 0.867 0.250
Co 0.633 0.867 0.750
Co 0.867 0.367 0.250
Co 0.867 0.367 0.750
Ni 0.000 0.000 0.249
Ni 0.000 0.000 0.751
Ni 0.500 0.500 0.251
Ni 0.500 0.500 0.749

***

9.
Structure and calculated powder diffraction line list of LiTlPbF6 (a crystal structure in Alexandria, relaxed with PBE; Cu Kα, 1.54184 Å).
No peak broadening, texture or thermal motion is included.

Most intense lines, 2θ from 15° to 90°, by angle:
18.3°, rel. 28.4; 24.8°, rel. 100.0; 32.0°, rel. 26.4; 38.5°, rel. 11.2; 40.9°, rel. 27.0; 47.1°, rel. 31.8; 52.9°, rel. 26.5; 55.0°, rel. 11.6; 57.0°, rel. 10.8; 72.6°, rel. 10.7

Cell and atoms:
abc: 5.593 5.593 5.334
angles: 90.00 90.00 120.00
Fractional coordinates of all 9 atoms:
Li 0.000 0.000 0.000
Tl 0.333 0.667 0.000
Pb 0.667 0.333 0.500
F 0.016 0.319 0.220
F 0.016 0.697 0.780
F 0.303 0.319 0.780
F 0.303 0.984 0.220
F 0.681 0.697 0.220
F 0.681 0.984 0.780

***

10.
Structure and calculated powder diffraction line list of Y2Tm2Te5 (a crystal structure in Alexandria, relaxed with PBE; Cu Kα, 1.54184 Å).
No peak broadening, texture or thermal motion is included.

Most intense lines, 2θ from 15° to 90°, by angle:
17.4°, rel. 30.9; 19.2°, rel. 22.8; 20.6°, rel. 25.7; 29.0°, rel. 80.8; 29.3°, rel. 100.0; 29.6°, rel. 96.9; 41.7°, rel. 60.0; 41.9°, rel. 59.0; 42.2°, rel. 73.9; 52.0°, rel. 62.8

Cell and atoms:
abc: 9.724 9.724 6.099
angles: 90.00 90.00 143.88
Fractional coordinates of all 9 atoms:
Y 0.156 0.844 0.000
Y 0.844 0.156 0.000
Tm 0.314 0.686 0.500
Tm 0.686 0.314 0.500
Te 0.000 0.000 0.000
Te 0.153 0.847 0.500
Te 0.331 0.669 0.000
Te 0.669 0.331 0.000
Te 0.847 0.153 0.500

***

11.
Structure and calculated powder diffraction line list of Cs6Bi4Pb (a crystal structure in Alexandria, relaxed with PBE; Cu Kα, 1.54184 Å).
No peak broadening, texture or thermal motion is included.

Most intense lines, 2θ from 15° to 90°, by angle:
19.2°, rel. 18.8; 23.7°, rel. 50.9; 25.3°, rel. 96.4; 26.4°, rel. 44.2; 28.5°, rel. 100.0; 29.1°, rel. 18.6; 30.2°, rel. 28.6; 38.4°, rel. 23.8; 46.9°, rel. 32.6; 53.6°, rel. 22.3

Cell and atoms:
abc: 12.540 12.540 9.238
angles: 90.00 90.00 120.00
Fractional coordinates of all 22 atoms:
Cs 0.043 0.522 0.000
Cs 0.149 0.297 0.302
Cs 0.149 0.851 0.302
Cs 0.297 0.149 0.802
Cs 0.478 0.522 0.000
Cs 0.478 0.957 0.000
Cs 0.522 0.043 0.500
Cs 0.522 0.478 0.500
Cs 0.703 0.851 0.302
Cs 0.851 0.149 0.802
Cs 0.851 0.703 0.802
Cs 0.957 0.478 0.500
Bi 0.197 0.395 0.717
Bi 0.197 0.803 0.717
Bi 0.333 0.667 0.301
Bi 0.395 0.197 0.217
Bi 0.605 0.803 0.717
Bi 0.667 0.333 0.801
Bi 0.803 0.197 0.217
Bi 0.803 0.605 0.217
Pb 0.333 0.667 0.631
Pb 0.667 0.333 0.131

***

12.
Structure and calculated powder diffraction line list of CeY12Tm5 (a crystal structure in Alexandria, relaxed with PBE; Cu Kα, 1.54184 Å).
No peak broadening, texture or thermal motion is included.

Most intense lines, 2θ from 15° to 90°, by angle:
30.8°, rel. 100.0; 31.0°, rel. 32.8; 35.6°, rel. 22.6; 35.9°, rel. 44.1; 51.3°, rel. 15.7; 51.6°, rel. 23.2; 61.0°, rel. 9.3; 61.3°, rel. 13.7; 61.4°, rel. 18.2; 64.2°, rel. 12.0

Cell and atoms:
abc: 7.904 7.904 10.089
angles: 108.36 108.36 84.56
Fractional coordinates of all 18 atoms:
Ce 0.000 0.000 0.000
Y 0.001 0.667 0.667
Y 0.001 0.669 0.167
Y 0.331 0.999 0.833
Y 0.333 0.333 0.167
Y 0.333 0.999 0.333
Y 0.335 0.335 0.667
Y 0.665 0.665 0.333
Y 0.667 0.001 0.667
Y 0.667 0.667 0.833
Y 0.669 0.001 0.167
Y 0.999 0.331 0.833
Y 0.999 0.333 0.333
Tm 0.000 0.000 0.500
Tm 0.333 0.667 0.000
Tm 0.334 0.666 0.500
Tm 0.666 0.334 0.500
Tm 0.667 0.333 0.000